Record 1
For MgCuPdAu, a structure optimized by DFT (GGA-PBE) gives the computed powder X-ray diffraction pattern in this record (Cu Ka).
Peak positions follow from Bragg's law for the DFT cell and can differ from measured ones.

Crystal structure
Cell: 3.7890 3.9673 4.1087 Å, 90.00 90.00 90.00°
Atoms (fractional coordinates):
Mg: 0.0000 0.0000 0.0000
Cu: 0.0000 0.5000 0.5000
Pd: 0.5000 0.5000 0.0000
Au: 0.5000 0.0000 0.5000

Peak list (6 most intense, 2θ = 10–80°, low angle first)
23.48 deg, intensity 26.3; 31.34 deg, intensity 25.8; 39.53 deg, intensity 100.0; 44.08 deg, intensity 18.3; 45.74 deg, intensity 16.4; 48.02 deg, intensity 14.2

Record 2
For MgCuRhAu, a structure optimized by DFT (GGA-PBE) gives the computed powder X-ray diffraction pattern in this record (Cu Ka).
Peak positions follow from Bragg's law for the DFT cell and can differ from measured ones.

Crystal structure
Cell: 3.6608 4.0166 4.1137 Å, 90.00 90.00 90.00°
Atoms (fractional coordinates):
Mg: 0.0000 0.0000 0.0000
Cu: 0.0000 0.5000 0.5000
Rh: 0.5000 0.5000 0.0000
Au: 0.5000 0.0000 0.5000

Peak list (6 most intense, 2θ = 10–80°, low angle first)
24.31 deg, intensity 24.5; 31.12 deg, intensity 26.6; 39.88 deg, intensity 100.0; 44.03 deg, intensity 18.8; 45.15 deg, intensity 17.5; 78.14 deg, intensity 13.7

Record 3
For TmMg2CuAu4, a structure optimized by DFT (GGA-PBE) gives the computed powder X-ray diffraction pattern in this record (Cu Ka).
Peak positions follow from Bragg's law for the DFT cell and can differ from measured ones.

Crystal structure
Cell: 8.2783 8.2783 8.2783 Å, 32.83 32.83 32.83°
Atoms (fractional coordinates):
Tm: 0.0000 0.0000 0.0000
Mg: 0.2444 0.2444 0.2444
Mg: 0.7556 0.7556 0.7556
Cu: 0.5000 0.5000 0.5000
Au: 0.1264 0.1264 0.1264
Au: 0.3863 0.3863 0.3863
Au: 0.6137 0.6137 0.6137
Au: 0.8736 0.8736 0.8736

Peak list (6 most intense, 2θ = 10–80°, low angle first)
26.73 deg, intensity 51.6; 37.85 deg, intensity 92.4; 38.48 deg, intensity 100.0; 55.08 deg, intensity 31.4; 69.19 deg, intensity 31.8; 69.60 deg, intensity 17.7

Record 4
For MnCu4Au, a structure optimized by DFT (GGA-PBE) gives the computed powder X-ray diffraction pattern in this record (Cu Ka).
Peak positions follow from Bragg's law for the DFT cell and can differ from measured ones.

Crystal structure
Cell: 2.8236 3.4176 8.3709 Å, 90.00 90.00 90.00°
Atoms (fractional coordinates):
Mn: 0.0000 0.0000 0.0000
Cu: 0.0000 0.0000 0.3136
Cu: 0.0000 0.0000 0.6864
Cu: 0.5000 0.5000 0.1620
Cu: 0.5000 0.5000 0.8380
Au: 0.5000 0.5000 0.5000

Peak list (6 most intense, 2θ = 10–80°, low angle first)
10.57 deg, intensity 61.7; 41.48 deg, intensity 100.0; 41.79 deg, intensity 94.2; 45.71 deg, intensity 72.2; 53.64 deg, intensity 22.9; 73.07 deg, intensity 33.6

Record 5
For Mn2Cu3Au6, a structure optimized by DFT (GGA-PBE) gives the computed powder X-ray diffraction pattern in this record (Cu Ka).
Peak positions follow from Bragg's law for the DFT cell and can differ from measured ones.

Crystal structure
Cell: 13.1843 13.1843 13.1843 Å, 163.01 163.01 24.12°
Atoms (fractional coordinates):
Mn: 0.1585 0.1585 0.0000
Mn: 0.8415 0.8415 0.0000
Cu: 0.3602 0.3602 0.0000
Cu: 0.5000 0.5000 0.0000
Cu: 0.6398 0.6398 0.0000
Au: 0.0702 0.5702 0.5000
Au: 0.2634 0.2634 0.0000
Au: 0.4298 0.9298 0.5000
Au: 0.5702 0.0702 0.5000
Au: 0.7366 0.7366 0.0000
Au: 0.9298 0.4298 0.5000

Peak list (6 most intense, 2θ = 10–80°, low angle first)
20.67 deg, intensity 61.4; 33.26 deg, intensity 100.0; 38.83 deg, intensity 29.6; 43.20 deg, intensity 88.1; 46.63 deg, intensity 55.5; 51.51 deg, intensity 24.0

Record 6
For Mn2CuAuN, a structure optimized by DFT (GGA-PBE) gives the computed powder X-ray diffraction pattern in this record (Cu Ka).
Peak positions follow from Bragg's law for the DFT cell and can differ from measured ones.

Crystal structure
Cell: 3.9789 3.9789 3.9685 Å, 90.00 90.00 90.00°
Atoms (fractional coordinates):
Mn: 0.0000 0.5000 0.0000
Mn: 0.5000 0.0000 0.0000
Cu: 0.0000 0.0000 0.5000
Au: 0.5000 0.5000 0.5000
N: 0.0000 0.0000 0.0000

Peak list (6 most intense, 2θ = 10–80°, low angle first)
22.37 deg, intensity 33.7; 31.83 deg, intensity 45.1; 39.25 deg, intensity 100.0; 45.60 deg, intensity 36.9; 66.53 deg, intensity 34.0; 80.00 deg, intensity 24.2